Starting from a structure optimized by DFT (GGA+U), the X-ray diffraction stick pattern of KMnSn3O8 was simulated for CuKα.
Lines closer than 0.1° are merged.

Crystal structure
a = 7.555 Å, b = 7.555 Å, c = 10.452 Å
α = 132.90°, β = 132.90°, γ = 24.82°
Atoms (fractional coordinates):
K1 0.000 0.000 0.000
Mn1 0.330 0.330 0.179
Sn1 0.139 0.139 0.475
Sn2 0.666 0.666 0.826
Sn3 0.844 0.844 0.503
O1 0.038 0.038 0.704
O2 0.297 0.297 0.955
O3 0.332 0.332 0.369
O4 0.339 0.339 0.634
O5 0.647 0.647 0.347
O6 0.666 0.666 0.627
O7 0.697 0.697 0.050
O8 0.949 0.949 0.286

Peak list (10 most intense, 10 to 90 degrees two-theta, in order of rising 2θ)
2θ = 11.81°, d 7.495, intensity 67; 2θ = 16.76°, d 5.291, intensity 39; 2θ = 16.97°, d 5.226, intensity 43; 2θ = 26.81°, d 3.325, intensity 100; 2θ = 27.07°, d 3.294, intensity 33; 2θ = 33.47°, d 2.677, intensity 88; 2θ = 33.61°, d 2.667, intensity 99; 2θ = 44.94°, d 2.017, intensity 32; 2θ = 45.26°, d 2.004, intensity 24; 2θ = 54.87°, d 1.673, intensity 56